Simulated powder diffractogram
Compound: Rb2Cu4H5S4O20
Radiation: CuKα
Structure: a DFT-relaxed cell (PBE, the Materials Project)

Peak list (6 most intense, 2θ from 10° to 80°, by angle)
14.6°, rel. 100; 16.9°, rel. 44; 22.3°, rel. 38; 27.4°, rel. 45; 28.7°, rel. 71; 32.0°, rel. 70

a = 7.043 Å, b = 8.026 Å, c = 9.128 Å
α = 83.47°, β = 78.36°, γ = 88.24°
Positions (direct):
Rb: 0.000 0.000 0.000
Rb: 0.500 0.500 0.500
Cu: 0.010 0.391 0.398
Cu: 0.256 0.771 0.257
Cu: 0.744 0.229 0.743
Cu: 0.990 0.609 0.602
H: 0.136 0.497 0.813
H: 0.383 0.987 0.754
H: 0.500 0.000 0.000
H: 0.617 0.013 0.246
H: 0.864 0.503 0.187
S: 0.149 0.018 0.516
S: 0.356 0.482 0.074
S: 0.644 0.518 0.926
S: 0.851 0.982 0.484
O: 0.084 0.618 0.386
O: 0.139 0.007 0.678
O: 0.150 0.594 0.737
O: 0.202 0.182 0.432
O: 0.253 0.373 0.001
O: 0.262 0.876 0.449
O: 0.266 0.657 0.074
O: 0.398 0.423 0.221
O: 0.448 0.933 0.128
O: 0.491 0.934 0.796
O: 0.509 0.066 0.204
O: 0.552 0.067 0.872
O: 0.602 0.577 0.779
O: 0.734 0.343 0.926
O: 0.738 0.124 0.551
O: 0.747 0.627 0.999
O: 0.798 0.818 0.568
O: 0.850 0.406 0.263
O: 0.861 0.993 0.322
O: 0.916 0.382 0.614

=====

Simulated powder diffractogram
Compound: RbCu2H3S2O10
Radiation: CuKα
Structure: a DFT-relaxed cell (PBE, the Materials Project)

Peak list (6 most intense, 2θ from 10° to 80°, by angle)
18.2°, rel. 29; 19.4°, rel. 35; 26.1°, rel. 58; 30.1°, rel. 100; 33.7°, rel. 34; 36.9°, rel. 36

a = 5.655 Å, b = 5.655 Å, c = 8.011 Å
α = 112.71°, β = 112.71°, γ = 70.48°
Positions (direct):
Rb: 0.000 0.000 0.000
Cu: 0.494 0.996 0.504
Cu: 0.996 0.494 0.504
H: 0.198 0.198 0.706
H: 0.798 0.798 0.284
H: 0.974 0.974 0.483
S: 0.427 0.427 0.223
S: 0.571 0.571 0.777
O: 0.158 0.158 0.568
O: 0.274 0.654 0.719
O: 0.323 0.323 0.317
O: 0.329 0.329 0.016
O: 0.345 0.725 0.280
O: 0.654 0.274 0.719
O: 0.671 0.671 0.984
O: 0.676 0.676 0.683
O: 0.725 0.345 0.280
O: 0.844 0.844 0.424

=====

Simulated powder diffractogram
Compound: RbCu2H3Se2O10
Radiation: CuKα
Structure: a DFT-relaxed cell (PBE, the Materials Project)

Peak list (6 most intense, 2θ from 10° to 80°, by angle)
17.9°, rel. 43; 25.6°, rel. 100; 29.3°, rel. 62; 29.4°, rel. 61; 31.8°, rel. 53; 33.2°, rel. 47

a = 5.746 Å, b = 5.746 Å, c = 8.174 Å
α = 111.93°, β = 111.93°, γ = 71.07°
Positions (direct):
Rb: 0.000 0.000 0.000
Cu: 0.000 0.500 0.500
Cu: 0.500 0.000 0.500
H: 0.000 0.000 0.500
H: 0.194 0.194 0.702
H: 0.806 0.806 0.298
Se: 0.429 0.429 0.224
Se: 0.571 0.571 0.776
O: 0.149 0.149 0.566
O: 0.245 0.665 0.715
O: 0.313 0.313 0.331
O: 0.320 0.320 0.999
O: 0.335 0.755 0.285
O: 0.665 0.245 0.715
O: 0.680 0.680 0.001
O: 0.687 0.687 0.669
O: 0.755 0.335 0.285
O: 0.851 0.851 0.434

=====

Simulated powder diffractogram
Compound: CuRe2H8O12
Radiation: CuKα
Structure: a DFT-relaxed cell (PBE, the Materials Project)

Peak list (6 most intense, 2θ from 10° to 80°, by angle)
14.0°, rel. 84; 17.4°, rel. 84; 18.4°, rel. 81; 24.5°, rel. 100; 24.6°, rel. 71; 26.4°, rel. 52

a = 6.864 Å, b = 7.118 Å, c = 7.296 Å
α = 118.20°, β = 93.18°, γ = 108.47°
Positions (direct):
Cu: 0.000 0.000 0.000
Re: 0.436 0.641 0.312
Re: 0.564 0.359 0.688
H: 0.108 0.148 0.736
H: 0.121 0.059 0.370
H: 0.232 0.768 0.961
H: 0.248 0.821 0.769
H: 0.752 0.179 0.231
H: 0.768 0.232 0.039
H: 0.879 0.941 0.630
H: 0.892 0.852 0.264
O: 0.020 0.930 0.229
O: 0.158 0.800 0.865
O: 0.282 0.246 0.618
O: 0.335 0.348 0.232
O: 0.347 0.794 0.534
O: 0.350 0.666 0.097
O: 0.650 0.334 0.903
O: 0.653 0.206 0.466
O: 0.665 0.652 0.768
O: 0.718 0.754 0.382
O: 0.842 0.200 0.135
O: 0.980 0.070 0.771

=====

Simulated powder diffractogram
Compound: CuH2SO5
Radiation: CuKα
Structure: a DFT-relaxed cell (PBE, the Materials Project)

Peak list (6 most intense, 2θ from 10° to 80°, by angle)
18.1°, rel. 57; 25.5°, rel. 100; 25.8°, rel. 77; 27.9°, rel. 86; 35.5°, rel. 57; 35.6°, rel. 46

a = 5.057 Å, b = 5.245 Å, c = 7.817 Å
α = 108.98°, β = 108.00°, γ = 90.42°
Positions (direct):
Cu: 0.000 0.000 0.000
Cu: 0.500 0.500 0.500
H: 0.021 0.508 0.685
H: 0.177 0.595 0.222
H: 0.823 0.405 0.778
H: 0.979 0.492 0.315
S: 0.392 0.070 0.755
S: 0.608 0.930 0.245
O: 0.147 0.453 0.276
O: 0.260 0.163 0.907
O: 0.287 0.198 0.610
O: 0.295 0.842 0.154
O: 0.338 0.766 0.673
O: 0.662 0.234 0.327
O: 0.705 0.158 0.846
O: 0.713 0.802 0.390
O: 0.740 0.837 0.093
O: 0.853 0.547 0.724

=====

Simulated powder diffractogram
Compound: CuH10SO9
Radiation: CuKα
Structure: a DFT-relaxed cell (PBE, the Materials Project)

Peak list (6 most intense, 2θ from 10° to 80°, by angle)
16.3°, rel. 48; 18.9°, rel. 100; 22.1°, rel. 64; 23.8°, rel. 70; 31.9°, rel. 48; 32.3°, rel. 46

a = 5.971 Å, b = 6.057 Å, c = 10.837 Å
α = 77.61°, β = 82.36°, γ = 72.98°
Positions (direct):
Cu: 0.000 0.000 0.000
Cu: 0.000 0.500 0.500
H: 0.065 0.203 0.703
H: 0.120 0.304 0.099
H: 0.164 0.639 0.881
H: 0.236 0.783 0.509
H: 0.254 0.600 0.642
H: 0.306 0.906 0.305
H: 0.323 0.167 0.627
H: 0.337 0.104 0.369
H: 0.343 0.183 0.877
H: 0.431 0.895 0.893
H: 0.569 0.105 0.107
H: 0.657 0.817 0.123
H: 0.663 0.896 0.631
H: 0.677 0.833 0.373
H: 0.694 0.094 0.695
H: 0.746 0.400 0.358
H: 0.764 0.217 0.491
H: 0.836 0.361 0.119
H: 0.880 0.696 0.901
H: 0.935 0.797 0.297
S: 0.377 0.508 0.215
S: 0.623 0.492 0.785
O: 0.019 0.742 0.917
O: 0.148 0.688 0.575
O: 0.150 0.206 0.618
O: 0.205 0.744 0.190
O: 0.296 0.034 0.904
O: 0.336 0.391 0.348
O: 0.362 0.359 0.125
O: 0.374 0.930 0.377
O: 0.379 0.459 0.802
O: 0.621 0.541 0.198
O: 0.626 0.070 0.623
O: 0.638 0.641 0.875
O: 0.664 0.609 0.652
O: 0.704 0.966 0.096
O: 0.795 0.256 0.810
O: 0.850 0.794 0.382
O: 0.852 0.312 0.425
O: 0.981 0.258 0.083

=====

Simulated powder diffractogram
Compound: CuH6SO7
Radiation: CuKα
Structure: a DFT-relaxed cell (PBE, the Materials Project)

Peak list (6 most intense, 2θ from 10° to 80°, by angle)
17.2°, rel. 57; 20.1°, rel. 100; 24.5°, rel. 61; 25.5°, rel. 49; 26.5°, rel. 67; 35.9°, rel. 47

a = 7.284 Å, b = 7.284 Å, c = 7.320 Å
α = 92.34°, β = 92.34°, γ = 134.76°
Positions (direct):
Cu: 0.135 0.865 0.500
Cu: 0.865 0.135 0.000
H: 0.038 0.816 0.144
H: 0.109 0.484 0.774
H: 0.268 0.607 0.976
H: 0.484 0.109 0.274
H: 0.563 0.731 0.202
H: 0.564 0.963 0.715
H: 0.591 0.651 0.005
H: 0.607 0.268 0.476
H: 0.651 0.591 0.505
H: 0.731 0.563 0.702
H: 0.816 0.038 0.644
H: 0.963 0.564 0.215
S: 0.154 0.383 0.419
S: 0.383 0.154 0.919
O: 0.043 0.136 0.486
O: 0.091 0.479 0.910
O: 0.134 0.523 0.556
O: 0.136 0.043 0.986
O: 0.332 0.997 0.747
O: 0.427 0.545 0.378
O: 0.479 0.091 0.410
O: 0.523 0.134 0.056
O: 0.545 0.427 0.878
O: 0.592 0.776 0.072
O: 0.701 0.967 0.745
O: 0.776 0.592 0.572
O: 0.967 0.701 0.245
O: 0.997 0.332 0.247

=====

What is the formula in the fifth record?
CuH2SO5